No. 1
# PrAlGa2
Simulated XRD peak list, Cu Kα X-rays. Input: a crystal structure in OQMD, relaxed with GGA-PBE.

Peak list (8 most intense, 2θ = 10–80°, by angle)
hkl 1 2 0, 2θ 25.1, intensity 53.3; hkl 0 2 2, 2θ 31.5, intensity 24.8; hkl 1 4 0, 2θ 37.2, intensity 47.7; hkl 1 2 2, 2θ 37.4, intensity 100.0; hkl 2 0 0, 2θ 39.6, intensity 30.8; hkl 2 4 0, 2θ 51.5, intensity 18.8; hkl 0 6 2, 2θ 56.0, intensity 15.5; hkl 3 2 2, 2θ 70.4, intensity 22.3

Structural model:
Cell lengths 4.552, 11.391, 6.540 Å; angles 90.00, 90.00, 90.00 degrees
Space group Ama2 (No. 40)
One atom of each set of equivalent atoms:
Pr 0.250 0.168 0.000
Al 0.250 0.432 0.207
Ga 0.250 0.143 0.501
Ga 0.250 0.430 0.785



No. 2
# Er2Re
Simulated XRD peak list, Cu Kα X-rays. Input: a crystal structure in OQMD, relaxed with GGA-PBE.

Peak list (8 most intense, 2θ = 10–80°, by angle)
hkl 2 2 0, 2θ 31.1, intensity 29.9; hkl 3 1 1, 2θ 36.7, intensity 100.0; hkl 2 2 2, 2θ 38.4, intensity 37.0; hkl 4 2 2, 2θ 55.4, intensity 12.0; hkl 5 1 1, 2θ 59.0, intensity 33.9; hkl 4 4 0, 2θ 64.9, intensity 29.0; hkl 5 3 3, 2θ 76.9, intensity 11.8; hkl 6 2 2, 2θ 78.0, intensity 14.2

Structural model:
Cell lengths 8.130, 8.130, 8.130 Å; angles 90.00, 90.00, 90.00 degrees
Space group Fd-3m (No. 227, origin choice 2)
One atom of each set of equivalent atoms:
Er 0.000 0.000 0.000
Re 0.125 0.125 0.625



No. 3
# Tb2CuSb4
Simulated XRD peak list, Cu Kα X-rays. Input: a crystal structure in OQMD, relaxed with GGA-PBE.

Peak list (8 most intense, 2θ = 10–80°, by angle)
hkl 0 0 3, 2θ 28.5, intensity 19.9; hkl 1 1 1, 2θ 30.5, intensity 36.8; hkl 1 1 2, 2θ 34.8, intensity 100.0; hkl 1 0 3, 2θ 35.3, intensity 35.2; hkl 2 0 0, 2θ 41.4, intensity 50.1; hkl 1 0 5, 2θ 53.1, intensity 18.3; hkl 2 1 3, 2θ 55.6, intensity 19.1; hkl 3 1 2, 2θ 71.3, intensity 24.1

Structural model:
Cell lengths 4.358, 4.358, 9.390 Å; angles 90.00, 90.00, 90.00 degrees
Space group P-4m2 (No. 115)
One atom of each set of equivalent atoms:
Tb 0.000 0.500 0.238
Cu 0.500 0.500 0.000
Sb 0.000 0.000 0.500
Sb 0.000 0.500 0.856
Sb 0.500 0.500 0.500



No. 4
# Dy2TmGa5
Simulated XRD peak list, Cu Kα X-rays. Input: a crystal structure in OQMD, relaxed with GGA-PBE.

Peak list (8 most intense, 2θ = 10–80°, by angle)
hkl 1 0 2, 2θ 25.2, intensity 14.7; hkl 0 0 4, 2θ 34.4, intensity 21.7; hkl 1 2 2, 2θ 36.7, intensity 100.0; hkl 2 0 0, 2θ 37.4, intensity 26.7; hkl 1 0 4, 2θ 39.3, intensity 15.2; hkl 2 0 4, 2θ 51.8, intensity 13.4; hkl 3 2 2, 2θ 67.1, intensity 16.8; hkl 2 4 0, 2θ 67.6, intensity 9.2

Structural model:
Cell lengths 4.804, 6.792, 10.429 Å; angles 90.00, 90.00, 90.00 degrees
Space group Amm2 (No. 38)
One atom of each set of equivalent atoms:
Dy 0.000 0.000 0.000
Dy 0.500 0.000 0.310
Tm 0.500 0.000 0.780
Ga 0.000 0.000 0.509
Ga 0.000 0.242 0.737
Ga 0.500 0.248 0.552



No. 5
# Gd3In3NiIrPt
Simulated XRD peak list, Cu Kα X-rays. Input: a crystal structure in OQMD, relaxed with GGA-PBE.

Peak list (8 most intense, 2θ = 10–80°, by angle)
hkl 1 1 1, 2θ 33.0, intensity 100.0; hkl 2 0 1, 2θ 35.8, intensity 80.1; hkl 2 1 0, 2θ 36.1, intensity 51.6; hkl 3 0 0, 2θ 41.2, intensity 33.6; hkl 1 2 1, 2θ 43.2, intensity 23.9; hkl 0 0 2, 2θ 46.9, intensity 22.6; hkl 2 1 2, 2θ 60.6, intensity 22.7; hkl 3 2 1, 2θ 66.5, intensity 25.2

Structural model:
Cell lengths 7.5987, 7.5987, 3.8735 Å; angles 90.00, 90.00, 120.00 degrees
Space group P-6 (No. 174)
One atom of each set of equivalent atoms:
Gd 0.0812 0.7409 0.0000
In 0.4209 0.0856 0.5000
Ni 0.6667 0.3333 0.0000
Ir 0.3333 0.6667 0.5000
Pt 0.0000 0.0000 0.5000



No. 6
# CsAgTe2MoSe
Simulated XRD peak list, Cu Kα X-rays. Input: a crystal structure in OQMD, relaxed with GGA-PBE.

Peak list (8 most intense, 2θ = 10–80°, by angle)
hkl 0 2 0, 2θ 10.4, intensity 75.3; hkl 0 4 2, 2θ 26.9, intensity 62.9; hkl 1 3 1, 2θ 27.9, intensity 100.0; hkl 1 3 2, 2θ 31.6, intensity 65.9; hkl 0 0 4, 2θ 34.0, intensity 81.7; hkl 1 5 2, 2θ 38.2, intensity 64.0; hkl 2 0 0, 2θ 43.4, intensity 35.0; hkl 1 3 5, 2θ 51.1, intensity 34.3

Structural model:
Cell lengths 4.167, 17.027, 10.543 Å; angles 90.00, 90.00, 90.00 degrees
Space group Cmcm (No. 63)
One atom of each set of equivalent atoms:
Cs 0.000 0.246 0.250
Ag 0.000 0.465 0.750
Te 0.000 0.388 0.526
Mo 0.000 0.000 0.000
Se 0.000 0.060 0.750



No. 7
# Li4P2PdAu
Simulated XRD peak list, Cu Kα X-rays. Input: a crystal structure in OQMD, relaxed with GGA-PBE.

Peak list (8 most intense, 2θ = 10–80°, by angle)
hkl 1 0 1, 2θ 25.9, intensity 100.0; hkl 1 1 0, 2θ 30.0, intensity 22.5; hkl 1 1 2, 2θ 42.8, intensity 43.2; hkl 2 0 0, 2θ 43.0, intensity 21.5; hkl 1 0 3, 2θ 50.6, intensity 16.1; hkl 2 1 1, 2θ 50.8, intensity 31.8; hkl 2 1 3, 2θ 68.5, intensity 13.0; hkl 3 1 2, 2θ 78.7, intensity 14.6

Structural model:
Cell lengths 4.209, 4.209, 5.991 Å; angles 90.00, 90.00, 90.00 degrees
Space group P-4m2 (No. 115)
One atom of each set of equivalent atoms:
Li 0.000 0.000 0.000
Li 0.000 0.500 0.244
Li 0.500 0.500 0.500
P 0.000 0.500 0.763
Pd 0.500 0.500 0.000
Au 0.000 0.000 0.500



No. 8
# MgNi7
Simulated XRD peak list, Cu Kα X-rays. Input: a crystal structure in OQMD, relaxed with GGA-PBE.

Peak list (8 most intense, 2θ = 10–80°, by angle)
hkl 1 1 0, 2θ 18.7, intensity 2.4; hkl 0 2 1, 2θ 21.7, intensity 2.3; hkl 1 1 1, 2θ 25.9, intensity 2.1; hkl 0 4 2, 2θ 44.2, intensity 100.0; hkl 2 0 2, 2θ 51.5, intensity 46.4; hkl 4 0 0, 2θ 75.7, intensity 4.4; hkl 2 8 2, 2θ 75.9, intensity 17.7; hkl 0 0 4, 2θ 76.0, intensity 4.5

Structural model:
Cell lengths 5.023, 14.188, 5.009 Å; angles 90.00, 90.00, 90.00 degrees
Space group Cmcm (No. 63)
One atom of each set of equivalent atoms:
Mg 0.000 0.124 0.250
Ni 0.000 0.123 0.750
Ni 0.000 0.373 0.250
Ni 0.000 0.373 0.750
Ni 0.240 0.500 0.000
Ni 0.250 0.250 0.000



No. 9
# KNaB2Pt6
Simulated XRD peak list, Cu Kα X-rays. Input: a crystal structure in OQMD, relaxed with GGA-PBE.

Peak list (8 most intense, 2θ = 10–80°, by angle)
hkl 1 0 0, 2θ 18.0, intensity 41.4; hkl 0 0 2, 2θ 32.0, intensity 36.6; hkl 2 0 0, 2θ 36.5, intensity 100.0; hkl 1 0 2, 2θ 37.0, intensity 25.6; hkl 2 0 2, 2θ 49.3, intensity 70.7; hkl 2 2 0, 2θ 65.6, intensity 18.9; hkl 2 2 2, 2θ 74.9, intensity 20.3; hkl 2 0 4, 2θ 78.7, intensity 21.7

Structural model:
Cell lengths 5.6895, 5.6895, 5.5892 Å; angles 90.00, 90.00, 120.00 degrees
Space group P6/mmm (No. 191)
One atom of each set of equivalent atoms:
K 0.0000 0.0000 0.0000
Na 0.0000 0.0000 0.5000
B 0.3333 0.6667 0.5000
Pt 0.0000 0.5000 0.2459



No. 10
# La2FeGe4Os
Simulated XRD peak list, Cu Kα X-rays. Input: a crystal structure in OQMD, relaxed with GGA-PBE.

Peak list (8 most intense, 2θ = 10–80°, by angle)
hkl 0 0 1, 2θ 10.3, intensity 39.8; hkl 1 1 0, 2θ 29.4, intensity 54.5; hkl 1 1 1, 2θ 33.0, intensity 100.0; hkl 1 0 -3, 2θ 33.2, intensity 59.6; hkl 0 1 3, 2θ 37.5, intensity 44.0; hkl 0 2 0, 2θ 41.4, intensity 85.7; hkl 1 2 -3, 2θ 54.0, intensity 29.6; hkl 2 2 -1, 2θ 60.0, intensity 28.3

Structural model:
Cell lengths 4.356, 4.364, 8.874 Å; angles 90.00, 104.09, 90.00 degrees
Space group Pm (No. 6)
One atom of each set of equivalent atoms:
La 0.000 0.000 0.000
La 0.223 0.500 0.438
Fe 0.433 0.500 0.859
Ge 0.366 0.000 0.731
Ge 0.563 0.500 0.129
Ge 0.657 0.000 0.299
Ge 0.869 0.500 0.729
Os 0.790 0.000 0.579



No. 11
# Sr2Au3
Simulated XRD peak list, Cu Kα X-rays. Input: a crystal structure in OQMD, relaxed with GGA-PBE.

Peak list (8 most intense, 2θ = 10–80°, by angle)
hkl 2 0 0, 2θ 20.2, intensity 50.6; hkl 1 1 1, 2θ 31.5, intensity 37.6; hkl 3 1 -1, 2θ 31.7, intensity 37.2; hkl 2 2 0, 2θ 33.5, intensity 15.8; hkl 0 2 1, 2θ 34.9, intensity 100.0; hkl 2 0 -2, 2θ 40.5, intensity 28.2; hkl 4 0 0, 2θ 41.2, intensity 22.5; hkl 3 3 0, 2θ 51.3, intensity 15.4

Structural model:
Cell lengths 9.804, 6.742, 4.451 Å; angles 90.00, 116.53, 90.00 degrees
Space group Cm (No. 8)
One atom of each set of equivalent atoms:
Sr 0.000 0.000 0.000
Sr 0.072 0.500 0.576
Au 0.285 0.000 0.787
Au 0.286 0.287 0.288